Entry 1:
Starting from DFT lattice parameters and positions (GGA+U), the powder X-ray diffraction pattern of Ca2FeMoO6 was calculated for CuKα.
Intensities are scaled so that the largest is 100.

Main lines, in order of rising 2θ (10° ≤ 2θ ≤ 80°):
- 2θ 22.74, intensity 85, (1 1 -1)
- 2θ 31.98, intensity 47, (0 2 0)
- 2θ 32.26, intensity 98, (1 1 1)
- 2θ 32.48, intensity 100, (1 1 -3)
- 2θ 32.82, intensity 46, (2 0 -2)
- 2θ 38.37, intensity 19, (1 0 -4)
- 2θ 46.45, intensity 98, (0 0 4)
- 2θ 57.45, intensity 23, (0 2 4)
- 2θ 58.10, intensity 25, (3 1 -1)
- 2θ 58.52, intensity 24, (3 1 -5)

Crystal structure
abc: 5.4576 5.5972 9.5022
angles: 90.00 124.52 90.00
Space group P2_1/c (No. 14)
Unique sites:
Ca1 0.2341 0.0523 0.2458 x4
Fe1 0.0000 0.0000 0.5000 x2
Mo1 0.5000 0.0000 0.0000 x2
O1 0.1510 0.2055 0.9513 x4
O2 0.2595 0.7147 0.9518 x4
O3 0.3401 0.0293 0.7481 x4

---

Entry 2:
Starting from DFT lattice parameters and positions (GGA+U), the powder X-ray diffraction pattern of Ca3Fe2Mo2O12 was calculated for CuKα.
Intensities are scaled so that the largest is 100.

Main lines, in order of rising 2θ (10° ≤ 2θ ≤ 80°):
- 2θ 22.91, intensity 73, (1 1 0)
- 2θ 23.02, intensity 36, (1 -1 0)
- 2θ 32.35, intensity 35, (0 2 0)
- 2θ 32.65, intensity 100, (1 -1 2)
- 2θ 32.72, intensity 33, (-1 1 2)
- 2θ 33.06, intensity 31, (2 0 0)
- 2θ 46.82, intensity 53, (0 0 4)
- 2θ 47.04, intensity 24, (2 -2 0)
- 2θ 52.74, intensity 18, (2 2 -2)
- 2θ 58.01, intensity 27, (0 2 4)

Crystal structure
abc: 5.4188 5.5350 7.7628
angles: 89.98 89.88 89.75
Space group P1 (No. 1)
Unique sites:
Ca1 0.0000 0.0000 0.0000 x1
Ca2 0.0158 0.0917 0.4984 x1
Ca3 0.4955 0.6003 0.5009 x1
Fe1 0.0076 0.5513 0.2523 x1
Fe2 0.5033 0.0587 0.7479 x1
Mo1 0.0029 0.5444 0.7607 x1
Mo2 0.5126 0.0580 0.2394 x1
O1 0.0787 0.5613 0.9941 x1
O2 0.2147 0.8320 0.7078 x1
O3 0.2202 0.8473 0.2877 x1
O4 0.2886 0.3407 0.6947 x1
O5 0.3069 0.3307 0.3030 x1
O6 0.4271 0.0720 0.0048 x1
O7 0.5852 0.0264 0.4952 x1
O8 0.7177 0.7758 0.2121 x1
O9 0.7332 0.7584 0.7830 x1
O10 0.8095 0.2443 0.2154 x1
O11 0.8195 0.2477 0.7828 x1
O12 0.9216 0.5300 0.5028 x1

---

Entry 3:
Starting from DFT lattice parameters and positions (GGA+U), the powder X-ray diffraction pattern of CaFeMoO6 was calculated for CuKα.
Intensities are scaled so that the largest is 100.

Main lines, in order of rising 2θ (10° ≤ 2θ ≤ 80°):
- 2θ 19.60, intensity 23, (0 1 1)
- 2θ 20.13, intensity 25, (1 0 0)
- 2θ 22.89, intensity 100, (1 1 -1)
- 2θ 23.17, intensity 47, (0 0 2)
- 2θ 31.91, intensity 24, (0 2 0)
- 2θ 32.79, intensity 97, (1 1 -3)
- 2θ 33.25, intensity 24, (2 0 -2)
- 2θ 46.75, intensity 41, (2 2 -2)
- 2θ 47.36, intensity 23, (0 0 4)
- 2θ 53.22, intensity 22, (1 1 3)

Crystal structure
abc: 5.3890 5.6085 9.3672
angles: 90.00 124.95 90.00
Space group Pc (No. 7)
Unique sites:
Ca1 0.0000 0.1861 0.0000 x2
Fe1 0.2582 0.2530 0.7513 x2
Mo1 0.7577 0.2797 0.2494 x2
O1 0.0106 0.4500 0.2082 x2
O2 0.0647 0.2318 0.4964 x2
O3 0.4392 0.2621 0.0072 x2
O4 0.5161 0.0302 0.2777 x2
O5 0.6051 0.4601 0.7960 x2
O6 0.9504 0.0259 0.7263 x2

---

Entry 4:
Starting from DFT lattice parameters and positions (GGA+U), the powder X-ray diffraction pattern of CaFeMo2O6 was calculated for CuKα.
Intensities are scaled so that the largest is 100.

Main lines, in order of rising 2θ (10° ≤ 2θ ≤ 80°):
- 2θ 19.01, intensity 35, (0 1 1)
- 2θ 22.83, intensity 19, (1 1 -1)
- 2θ 31.42, intensity 100, (1 1 1)
- 2θ 32.04, intensity 63, (1 1 -3)
- 2θ 33.52, intensity 29, (2 0 -2)
- 2θ 36.54, intensity 14, (0 1 3)
- 2θ 46.65, intensity 34, (2 2 -2)
- 2θ 56.41, intensity 14, (1 3 -3)
- 2θ 58.19, intensity 14, (3 1 -1)
- 2θ 59.39, intensity 18, (3 1 -5)

Crystal structure
abc: 5.3496 5.6829 9.6567
angles: 90.00 122.05 90.00
Space group P2_1/c (No. 14)
Unique sites:
Ca1 0.0000 0.0000 0.0000 x2
Fe1 0.5000 0.0000 0.5000 x2
Mo1 0.1971 0.0390 0.7044 x4
O1 0.1585 0.1556 0.4814 x4
O2 0.1800 0.7260 0.3577 x4
O3 0.4459 0.1455 0.2911 x4

---

Entry 5:
Starting from DFT lattice parameters and positions (GGA+U), the powder X-ray diffraction pattern of Ca3Fe4Mo6O24 was calculated for CuKα.
Intensities are scaled so that the largest is 100.

Main lines, in order of rising 2θ (10° ≤ 2θ ≤ 80°):
- 2θ 11.19, intensity 32, (0 1 0)
- 2θ 18.63, intensity 27, (0 0 2)
- 2θ 20.68, intensity 29, (1 1 -2)
- 2θ 25.36, intensity 64, (2 0 -1)
- 2θ 25.68, intensity 32, (2 -1 0)
- 2θ 26.29, intensity 70, (0 1 -3)
- 2θ 26.84, intensity 66, (1 -2 2)
- 2θ 27.38, intensity 100, (0 2 1)
- 2θ 32.40, intensity 28, (0 3 -2)
- 2θ 33.42, intensity 25, (-2 2 2)

Crystal structure
abc: 7.2493 8.7370 10.6090
angles: 105.35 106.34 104.24
Space group P-1 (No. 2)
Unique sites:
Ca1 0.0000 0.0000 0.0000 x1
Ca2 0.2928 0.8011 0.2959 x2
Fe1 0.0433 0.7065 0.5133 x2
Fe2 0.3728 0.4606 0.0997 x2
Mo1 0.1151 0.5963 0.8300 x2
Mo2 0.2120 0.1604 0.7672 x2
Mo3 0.3921 0.2463 0.3676 x2
O1 0.0060 0.2265 0.6635 x2
O2 0.0797 0.5597 0.6470 x2
O3 0.1152 0.5198 0.1530 x2
O4 0.1582 0.8115 0.9181 x2
O5 0.1737 0.9456 0.6647 x2
O6 0.2061 0.2168 0.9508 x2
O7 0.2409 0.0330 0.2394 x2
O8 0.2449 0.3129 0.4638 x2
O9 0.3300 0.5416 0.9164 x2
O10 0.3735 0.7563 0.5111 x2
O11 0.4353 0.3746 0.2675 x2
O12 0.4783 0.2813 0.7837 x2

---

Entry 6:
Starting from DFT lattice parameters and positions (GGA+U), the powder X-ray diffraction pattern of NaCaPrFeO6 was calculated for CuKα.
Intensities are scaled so that the largest is 100.

Main lines, in order of rising 2θ (10° ≤ 2θ ≤ 80°):
- 2θ 19.12, intensity 60, (1 1 1)
- 2θ 31.47, intensity 100, (2 2 0)
- 2θ 37.08, intensity 32, (3 1 1)
- 2θ 38.79, intensity 17, (2 2 2)
- 2θ 45.10, intensity 41, (4 0 0)
- 2θ 49.40, intensity 14, (3 3 1)
- 2θ 56.03, intensity 37, (4 2 2)
- 2θ 59.76, intensity 12, (5 1 1)
- 2θ 65.69, intensity 23, (4 4 0)
- 2θ 74.65, intensity 17, (6 2 0)

Crystal structure
abc: 8.0409 8.0409 8.0409
angles: 90.00 90.00 90.00
Space group F-43m (No. 216)
Unique sites:
Na1 0.0000 0.0000 0.0000 x4
Ca1 0.2500 0.2500 0.2500 x4
Pr1 0.0000 0.0000 0.5000 x4
Fe1 0.2500 0.2500 0.7500 x4
O1 0.0209 0.2500 0.7500 x24

---

Entry 7:
Starting from DFT lattice parameters and positions (GGA+U), the powder X-ray diffraction pattern of Na3CaFe4Si8O24 was calculated for CuKα.
Intensities are scaled so that the largest is 100.

Main lines, in order of rising 2θ (10° ≤ 2θ ≤ 80°):
- 2θ 13.66, intensity 35, (1 1 -1)
- 2θ 19.83, intensity 26, (0 2 0)
- 2θ 29.48, intensity 100, (0 2 2)
- 2θ 30.19, intensity 44, (3 1 -3)
- 2θ 34.73, intensity 26, (1 3 1)
- 2θ 35.02, intensity 41, (4 0 0)
- 2θ 35.66, intensity 40, (4 2 -2)
- 2θ 41.97, intensity 20, (1 3 -3)
- 2θ 60.76, intensity 18, (5 3 1)
- 2θ 65.62, intensity 27, (7 3 -5)

Crystal structure
abc: 12.2390 8.9352 9.8484
angles: 90.00 123.15 90.00
Space group C2 (No. 5)
Unique sites:
Na1 0.0000 0.0000 0.0000 x2
Na2 0.2489 0.4024 0.2481 x4
Ca1 0.0000 0.5011 0.5000 x2
Fe1 0.0000 0.0992 0.5000 x2
Fe2 0.0000 0.6001 0.0000 x2
Fe3 0.2464 0.7996 0.2440 x4
Si1 0.0059 0.7921 0.2940 x4
Si2 0.0067 0.2909 0.7975 x4
Si3 0.2410 0.1125 0.4537 x4
Si4 0.2424 0.6107 0.9530 x4
O1 0.0275 0.9548 0.6666 x4
O2 0.0279 0.4549 0.1676 x4
O3 0.0498 0.2849 0.6652 x4
O4 0.0508 0.7802 0.1665 x4
O5 0.1190 0.7100 0.4678 x4
O6 0.1215 0.2120 0.9689 x4
O7 0.1286 0.6882 0.7751 x4
O8 0.1302 0.1913 0.2793 x4
O9 0.1920 0.6194 0.0767 x4
O10 0.1926 0.1215 0.5793 x4
O11 0.2171 0.4512 0.5780 x4
O12 0.2222 0.9482 0.0809 x4